[1]
This entry pairs a crystal structure of AsPd17 with its computed PXRD pattern. Radiation: Cu Ka. Structure: a crystal structure in OQMD, relaxed with GGA-PBE.
No peak broadening, texture or thermal motion is included.

Top 6 peaks for 2θ = 10–90°, by intensity:
d [Å]  2theta  intensity
2.275  39.61  100
1.948  46.63  72
2.220  40.64  66
2.337  38.53  43
1.377  68.08  42
2.020  44.88  34

Structural model:
a = 5.5081 Å, b = 5.5081 Å, c = 30.3746 Å
α = 90.00°, β = 90.00°, γ = 120.00°
Positions (direct):
1 As 0.3333 0.6667 0.2959
2 As 0.6667 0.3333 0.7041
3 Pd 0.0000 0.0000 0.0000
4 Pd 0.0000 0.0000 0.2278
5 Pd 0.0000 0.0000 0.7722
6 Pd 0.0000 0.5000 0.0000
7 Pd 0.0012 0.5006 0.7716
8 Pd 0.1664 0.3329 0.6944
9 Pd 0.1664 0.8336 0.6944
10 Pd 0.1667 0.3334 0.9240
11 Pd 0.1669 0.3339 0.1518
12 Pd 0.1669 0.8331 0.1518
13 Pd 0.1667 0.8333 0.9240
14 Pd 0.3329 0.1664 0.3056
15 Pd 0.3334 0.1667 0.0760
16 Pd 0.3333 0.6667 0.0759
17 Pd 0.3333 0.6667 0.8481
18 Pd 0.3339 0.1669 0.8482
19 Pd 0.4994 0.5006 0.7716
20 Pd 0.4994 0.9988 0.7716
21 Pd 0.5000 0.0000 0.0000
22 Pd 0.5000 0.5000 0.0000
23 Pd 0.5006 0.0012 0.2284
24 Pd 0.5006 0.4994 0.2284
25 Pd 0.6661 0.8331 0.1518
26 Pd 0.6667 0.3333 0.1519
27 Pd 0.6667 0.3333 0.9241
28 Pd 0.6666 0.8333 0.9240
29 Pd 0.6671 0.8336 0.6944
30 Pd 0.8333 0.1667 0.0760
31 Pd 0.8331 0.1669 0.8482
32 Pd 0.8331 0.6661 0.8482
33 Pd 0.8333 0.6666 0.0760
34 Pd 0.8336 0.1664 0.3056
35 Pd 0.8336 0.6671 0.3056
36 Pd 0.9988 0.4994 0.2284

[2]
This entry pairs a crystal structure of As4Pd with its computed PXRD pattern. Radiation: Cu Ka. Structure: a crystal structure in OQMD, relaxed with GGA-PBE.
No peak broadening, texture or thermal motion is included.

Top 6 peaks for 2θ = 10–90°, by intensity:
d [Å]  2theta  intensity
2.981  29.97  100
2.345  38.39  53
3.345  26.65  41
2.627  34.13  31
1.863  48.89  28
1.971  46.05  25

Structural model:
a = 5.3116 Å, b = 5.3116 Å, c = 14.7069 Å
α = 90.00°, β = 90.00°, γ = 90.00°
Positions (direct):
1 As 0.0297 0.3368 0.4628
2 As 0.0364 0.1236 0.1250
3 As 0.1236 0.0364 0.8750
4 As 0.1632 0.5297 0.7128
5 As 0.3368 0.0297 0.5372
6 As 0.3764 0.5364 0.3750
7 As 0.4636 0.6236 0.1250
8 As 0.4703 0.8368 0.7872
9 As 0.5297 0.1632 0.2872
10 As 0.5364 0.3764 0.6250
11 As 0.6236 0.4636 0.8750
12 As 0.6632 0.9703 0.0372
13 As 0.8368 0.4703 0.2128
14 As 0.8764 0.9636 0.3750
15 As 0.9636 0.8764 0.6250
16 As 0.9703 0.6632 0.9628
17 Pd 0.1840 0.8160 0.2500
18 Pd 0.3160 0.3160 0.0000
19 Pd 0.6840 0.6840 0.5000
20 Pd 0.8160 0.1840 0.7500

[3]
This entry pairs a crystal structure of AsPd15 with its computed PXRD pattern. Radiation: Cu Ka. Structure: a crystal structure in OQMD, relaxed with GGA-PBE.
No peak broadening, texture or thermal motion is included.

Top 6 peaks for 2θ = 10–90°, by intensity:
d [Å]  2theta  intensity
2.248  40.12  100
2.282  39.48  85
1.970  46.08  55
1.944  46.72  37
1.384  67.69  34
2.412  37.28  25

Structural model:
a = 4.7661 Å, b = 33.8182 Å, c = 4.7681 Å
α = 90.00°, β = 109.40°, γ = 90.00°
Positions (direct):
1 As 0.0000 0.1956 0.2500
2 As 0.0000 0.8044 0.7500
3 Pd 0.0000 0.2248 0.7500
4 Pd 0.0000 0.2697 0.2500
5 Pd 0.0000 0.3113 0.7500
6 Pd 0.0000 0.3533 0.2500
7 Pd 0.0000 0.3952 0.7500
8 Pd 0.0000 0.4372 0.2500
9 Pd 0.0000 0.4791 0.7500
10 Pd 0.0000 0.5209 0.2500
11 Pd 0.0000 0.5628 0.7500
12 Pd 0.0000 0.6048 0.2500
13 Pd 0.0000 0.6467 0.7500
14 Pd 0.0000 0.6887 0.2500
15 Pd 0.0000 0.7303 0.7500
16 Pd 0.0000 0.7752 0.2500
17 Pd 0.5000 0.1845 0.7500
18 Pd 0.5000 0.2248 0.2500
19 Pd 0.5000 0.2691 0.7500
20 Pd 0.5000 0.3113 0.2500
21 Pd 0.5000 0.3534 0.7500
22 Pd 0.5000 0.3952 0.2500
23 Pd 0.5000 0.4371 0.7500
24 Pd 0.5000 0.4791 0.2500
25 Pd 0.5000 0.5209 0.7500
26 Pd 0.5000 0.5629 0.2500
27 Pd 0.5000 0.6048 0.7500
28 Pd 0.5000 0.6466 0.2500
29 Pd 0.5000 0.6887 0.7500
30 Pd 0.5000 0.7309 0.2500
31 Pd 0.5000 0.7752 0.7500
32 Pd 0.5000 0.8155 0.2500

[4]
This entry pairs a crystal structure of PrSiAs3Pd6 with its computed PXRD pattern. Radiation: Cu Ka. Structure: a crystal structure in OQMD, relaxed with GGA-PBE.
No peak broadening, texture or thermal motion is included.

Top 6 peaks for 2θ = 10–90°, by intensity:
d [Å]  2theta  intensity
2.491  36.06  100
2.060  43.95  27
2.400  37.48  26
2.009  45.14  23
1.833  49.75  22
1.354  69.42  16

Structural model:
a = 7.3311 Å, b = 7.3311 Å, c = 4.0171 Å
α = 90.00°, β = 90.00°, γ = 120.00°
Positions (direct):
1 Pr 0.0000 0.0000 0.0000
2 Si 0.3333 0.6667 0.0000
3 As 0.3782 0.1891 0.5000
4 As 0.8109 0.1891 0.5000
5 As 0.8109 0.6218 0.5000
6 Pd 0.2036 0.4073 0.5000
7 Pd 0.2036 0.7964 0.5000
8 Pd 0.5311 0.0622 0.0000
9 Pd 0.5311 0.4689 0.0000
10 Pd 0.5927 0.7964 0.5000
11 Pd 0.9378 0.4689 0.0000

[5]
This entry pairs a crystal structure of Pu3As4Pd4 with its computed PXRD pattern. Radiation: Cu Ka. Structure: a crystal structure in OQMD, relaxed with GGA-PBE.
No peak broadening, texture or thermal motion is included.

Top 6 peaks for 2θ = 10–90°, by intensity:
d [Å]  2theta  intensity
2.723  32.89  100
2.480  36.22  67
2.568  34.94  41
2.055  44.07  29
2.201  41.01  23
1.604  57.44  20

Structural model:
a = 8.0659 Å, b = 8.0659 Å, c = 8.0659 Å
α = 150.48°, β = 124.24°, γ = 64.35°
Positions (direct):
1 Pu 0.0000 0.0000 0.0000
2 Pu 0.3894 0.8894 0.5000
3 Pu 0.6106 0.1106 0.5000
4 As 0.2228 0.2228 0.0000
5 As 0.2774 0.5000 0.7774
6 As 0.7226 0.5000 0.2226
7 As 0.7772 0.7772 0.0000
8 Pd 0.0136 0.3185 0.6950
9 Pd 0.3765 0.6815 0.6950
10 Pd 0.6235 0.3185 0.3050
11 Pd 0.9864 0.6815 0.3050

[6]
This entry pairs a crystal structure of Rb2As2Pd with its computed PXRD pattern. Radiation: Cu Ka. Structure: a crystal structure in OQMD, relaxed with GGA-PBE.
No peak broadening, texture or thermal motion is included.

Top 6 peaks for 2θ = 10–90°, by intensity:
d [Å]  2theta  intensity
3.376  26.40  100
2.775  32.26  62
6.197  14.29  59
7.452  11.88  49
2.463  36.48  40
1.807  50.52  32

Structural model:
a = 8.1936 Å, b = 8.1936 Å, c = 6.2391 Å
α = 90.00°, β = 90.00°, γ = 130.86°
Positions (direct):
1 Rb 0.0819 0.9181 0.7500
2 Rb 0.2925 0.7075 0.2500
3 Rb 0.7075 0.2925 0.7500
4 Rb 0.9181 0.0819 0.2500
5 As 0.2145 0.4278 0.7500
6 As 0.4278 0.2145 0.2500
7 As 0.5722 0.7855 0.7500
8 As 0.7855 0.5722 0.2500
9 Pd 0.5000 0.5000 0.0000
10 Pd 0.5000 0.5000 0.5000

[7]
This entry pairs a crystal structure of RbTl3As2Pd2 with its computed PXRD pattern. Radiation: Cu Ka. Structure: a crystal structure in OQMD, relaxed with GGA-PBE.
No peak broadening, texture or thermal motion is included.

Top 6 peaks for 2θ = 10–90°, by intensity:
d [Å]  2theta  intensity
2.845  31.45  100
2.607  34.40  63
2.900  30.83  55
2.953  30.26  55
2.241  40.23  50
2.675  33.50  43

Structural model:
a = 5.8084 Å, b = 5.9616 Å, c = 6.5903 Å
α = 90.00°, β = 113.11°, γ = 90.00°
Positions (direct):
1 Rb 0.0000 0.0000 0.0000
2 Tl 0.0324 0.5000 0.2940
3 Tl 0.3318 0.0000 0.6422
4 Tl 0.6765 0.5000 0.5959
5 As 0.3051 0.5000 0.8200
6 As 0.7583 0.0000 0.4504
7 Pd 0.5533 0.2558 0.1370
8 Pd 0.5533 0.7442 0.1370

[8]
This entry pairs a crystal structure of AsPdS6 with its computed PXRD pattern. Radiation: Cu Ka. Structure: a crystal structure in OQMD, relaxed with GGA-PBE.
No peak broadening, texture or thermal motion is included.

Top 6 peaks for 2θ = 10–90°, by intensity:
d [Å]  2theta  intensity
2.598  34.52  100
4.975  17.83  97
2.154  41.94  95
1.977  45.91  71
3.046  29.32  62
1.523  60.81  55

Structural model:
a = 6.0928 Å, b = 6.0928 Å, c = 6.0928 Å
α = 60.00°, β = 60.00°, γ = 60.00°
Positions (direct):
1 As 0.0000 0.0000 0.0000
2 Pd 0.7500 0.7500 0.7500
3 S 0.0280 0.0280 0.4720
4 S 0.0280 0.4720 0.0280
5 S 0.0280 0.4720 0.4720
6 S 0.4720 0.0280 0.0280
7 S 0.4720 0.0280 0.4720
8 S 0.4720 0.4720 0.0280

[9]
This entry pairs a crystal structure of As2Pd3S8 with its computed PXRD pattern. Radiation: Cu Ka. Structure: a crystal structure in OQMD, relaxed with GGA-PBE.
No peak broadening, texture or thermal motion is included.

Top 6 peaks for 2θ = 10–90°, by intensity:
d [Å]  2theta  intensity
7.599  11.65  100
6.146  14.41  90
2.389  37.65  81
2.849  31.40  80
3.215  27.75  67
4.778  18.57  50

Structural model:
a = 7.0964 Å, b = 7.0964 Å, c = 7.5988 Å
α = 90.00°, β = 90.00°, γ = 120.00°
Positions (direct):
1 As 0.3333 0.6667 0.1647
2 As 0.6667 0.3333 0.8353
3 Pd 0.0000 0.5000 0.5000
4 Pd 0.5000 0.0000 0.5000
5 Pd 0.5000 0.5000 0.5000
6 S 0.1783 0.3566 0.3305
7 S 0.1783 0.8217 0.3305
8 S 0.3333 0.6667 0.8937
9 S 0.3566 0.1783 0.6695
10 S 0.6434 0.8217 0.3305
11 S 0.6667 0.3333 0.1063
12 S 0.8217 0.1783 0.6695
13 S 0.8217 0.6434 0.6695

[10]
This entry pairs a crystal structure of SbAsPd with its computed PXRD pattern. Radiation: Cu Ka. Structure: a crystal structure in OQMD, relaxed with GGA-PBE.
No peak broadening, texture or thermal motion is included.

Top 6 peaks for 2θ = 10–90°, by intensity:
d [Å]  2theta  intensity
2.817  31.76  100
1.899  47.89  93
2.572  34.89  74
3.150  28.33  44
1.684  54.50  41
1.212  78.97  29

Structural model:
a = 6.2996 Å, b = 6.2996 Å, c = 6.2996 Å
α = 90.00°, β = 90.00°, γ = 90.00°
Positions (direct):
1 Sb 0.1188 0.1188 0.1188
2 Sb 0.3812 0.8812 0.6188
3 Sb 0.6188 0.3812 0.8812
4 Sb 0.8812 0.6188 0.3812
5 As 0.1257 0.3743 0.6257
6 As 0.3743 0.6257 0.1257
7 As 0.6257 0.1257 0.3743
8 As 0.8743 0.8743 0.8743
9 Pd 0.0091 0.5091 0.9909
10 Pd 0.4909 0.4909 0.4909
11 Pd 0.5091 0.9909 0.0091
12 Pd 0.9909 0.0091 0.5091

[11]
This entry pairs a crystal structure of SbAs5Pd16 with its computed PXRD pattern. Radiation: Cu Ka. Structure: a crystal structure in OQMD, relaxed with GGA-PBE.
No peak broadening, texture or thermal motion is included.

Top 6 peaks for 2θ = 10–90°, by intensity:
d [Å]  2theta  intensity
2.131  42.42  100
2.219  40.65  96
2.148  42.08  80
2.163  41.75  78
2.393  37.59  72
2.139  42.25  67

Structural model:
a = 7.4365 Å, b = 7.4657 Å, c = 7.6220 Å
α = 98.90°, β = 102.63°, γ = 119.07°
Positions (direct):
1 Sb 0.0000 0.0000 0.0000
2 As 0.1685 0.8336 0.5270
3 As 0.3348 0.6761 0.0011
4 As 0.5000 0.5000 0.5000
5 As 0.6652 0.3239 0.9989
6 As 0.8315 0.1664 0.4730
7 Pd 0.0140 0.6894 0.1551
8 Pd 0.0485 0.7090 0.7955
9 Pd 0.1822 0.1214 0.3896
10 Pd 0.2089 0.4980 0.6057
11 Pd 0.2759 0.1517 0.7917
12 Pd 0.3783 0.4170 0.1506
13 Pd 0.4087 0.7728 0.3960
14 Pd 0.4373 0.0567 0.1592
15 Pd 0.5627 0.9433 0.8408
16 Pd 0.5913 0.2272 0.6040
17 Pd 0.6217 0.5830 0.8494
18 Pd 0.7241 0.8483 0.2083
19 Pd 0.7911 0.5020 0.3943
20 Pd 0.8178 0.8786 0.6104
21 Pd 0.9515 0.2910 0.2045
22 Pd 0.9860 0.3106 0.8449